1.
# PrLuNO
Calculated powder X-ray diffraction pattern, λ = 1.5418 Å (Cu Kα). Input: a structure optimized by DFT (PBE).

The 10 most intense peaks (2θ from 10° to 90°), sorted by position:
- 30.4 deg, I 33.1, hkl 0 0 2
- 30.8 deg, I 100.0, hkl 1 1 1
- 38.2 deg, I 41.4, hkl 2 0 0
- 49.6 deg, I 33.7, hkl 2 0 2
- 54.3 deg, I 20.1, hkl 1 1 3
- 55.1 deg, I 14.0, hkl 2 2 0
- 64.2 deg, I 15.3, hkl 2 2 2
- 64.4 deg, I 25.8, hkl 3 1 1
- 76.4 deg, I 6.9, hkl 2 0 4
- 81.0 deg, I 12.8, hkl 3 1 3

```
data_PrLuNO
_chemical_formula_sum 'Pr2 Lu2 N2 O2'
_space_group_name_H-M_alt 'P 4/n m m'
_space_group_IT_number 129
_cell_length_a 4.7179
_cell_length_b 4.7179
_cell_length_c 5.8753
_cell_angle_alpha 90.00
_cell_angle_beta 90.00
_cell_angle_gamma 90.00
loop_
_space_group_symop_operation_xyz
'x,y,z'
'-x,-y,-z'
'-y+1/2,x,z'
'y+1/2,-x,-z'
'-x+1/2,-y+1/2,z'
'x+1/2,y+1/2,-z'
'y,-x+1/2,z'
'-y,x+1/2,-z'
'x+1/2,-y,-z'
'-x+1/2,y,z'
'-y,-x,-z'
'y,x,z'
'-x,y+1/2,-z'
'x,-y+1/2,z'
'y+1/2,x+1/2,-z'
'-y+1/2,-x+1/2,z'
loop_
_atom_site_label
_atom_site_type_symbol
_atom_site_fract_x
_atom_site_fract_y
_atom_site_fract_z
_atom_site_occupancy
Pr1 Pr 0.2500 0.7500 0.0000 1
Lu1 Lu 0.2500 0.2500 0.4707 1
N1 N 0.2500 0.2500 0.1196 1
O1 O 0.2500 0.7500 0.5000 1
```

---

2.
# AgP5Os3
Calculated powder X-ray diffraction pattern, λ = 1.5418 Å (Cu Kα). Input: a structure optimized by DFT (PBE).

The 10 most intense peaks (2θ from 10° to 90°), sorted by position:
- 16.5 deg, I 94.9, hkl 0 0 1
- 24.3 deg, I 74.9, hkl 1 0 1
- 33.4 deg, I 32.9, hkl 0 0 2
- 35.2 deg, I 44.5, hkl 1 1 1
- 35.8 deg, I 93.3, hkl 2 0 0
- 39.6 deg, I 84.3, hkl 2 0 1
- 49.7 deg, I 100.0, hkl 2 0 2
- 51.1 deg, I 29.8, hkl 0 0 3
- 64.2 deg, I 27.6, hkl 2 2 0
- 85.4 deg, I 21.7, hkl 4 0 2

```
data_AgP5Os3
_chemical_formula_sum 'Ag1 P5 Os3'
_space_group_name_H-M_alt 'P 6/m m m'
_space_group_IT_number 191
_space_group_name_Hall '-P 6 2'
_cell_length_a 5.7992
_cell_length_b 5.7992
_cell_length_c 5.3632
_cell_angle_alpha 90.00
_cell_angle_beta 90.00
_cell_angle_gamma 120.00
loop_
_atom_site_label
_atom_site_type_symbol
_atom_site_fract_x
_atom_site_fract_y
_atom_site_fract_z
_atom_site_occupancy
Ag1 Ag 0.0000 0.0000 0.0000 1
P1 P 0.0000 0.0000 0.5000 1
P2 P 0.3333 0.6667 0.2003 1
Os1 Os 0.0000 0.5000 0.5000 1
```

---

3.
# K2Hf2S5
Calculated powder X-ray diffraction pattern, λ = 1.5418 Å (Cu Kα). Input: a structure optimized by DFT (PBE).

The 10 most intense peaks (2θ from 10° to 90°), sorted by position:
- 14.4 deg, I 58.8, hkl 1 1 0
- 15.1 deg, I 100.0, hkl 1 1 -1
- 15.3 deg, I 57.0, hkl 0 0 2
- 22.9 deg, I 28.4, hkl 1 1 2
- 25.0 deg, I 57.6, hkl 1 1 -3
- 26.9 deg, I 58.0, hkl 3 1 -1
- 31.1 deg, I 25.6, hkl 3 1 1
- 31.4 deg, I 47.0, hkl 2 2 1
- 36.6 deg, I 26.4, hkl 1 3 0
- 44.2 deg, I 38.1, hkl 1 1 5

```
data_K2Hf2S5
_chemical_formula_sum 'K8 Hf8 S20'
_space_group_name_H-M_alt 'C 1 2/c 1'
_space_group_IT_number 15
_space_group_name_Hall '-C 2yc'
_cell_length_a 11.0545
_cell_length_b 7.5711
_cell_length_c 12.1368
_cell_angle_alpha 90.00
_cell_angle_beta 107.47
_cell_angle_gamma 90.00
loop_
_atom_site_label
_atom_site_type_symbol
_atom_site_fract_x
_atom_site_fract_y
_atom_site_fract_z
_atom_site_occupancy
K1 K 0.2056 0.1636 0.3111 1
Hf1 Hf 0.0928 0.3396 0.9416 1
S1 S 0.0000 0.1928 0.7500 1
S2 S 0.0186 0.3723 0.1132 1
S3 S 0.1981 0.0488 0.0373 1
```

---

4.
# PrEr2Hf4
Calculated powder X-ray diffraction pattern, λ = 1.5418 Å (Cu Kα). Input: a structure optimized by DFT (PBE).

The 10 most intense peaks (2θ from 10° to 90°), sorted by position:
- 29.2 deg, I 67.6, hkl 2 1 1
- 32.2 deg, I 100.0, hkl 2 2 0
- 33.4 deg, I 69.2, hkl 1 1 2
- 36.1 deg, I 28.1, hkl 3 1 0
- 37.2 deg, I 91.3, hkl 2 0 2
- 37.3 deg, I 93.3, hkl 3 0 1
- 44.0 deg, I 28.2, hkl 3 2 1
- 58.1 deg, I 45.8, hkl 3 3 2
- 65.7 deg, I 30.1, hkl 5 2 1
- 68.0 deg, I 29.2, hkl 5 1 2

```
data_PrEr2Hf4
_chemical_formula_sum 'Pr2 Er4 Hf8'
_space_group_name_H-M_alt 'I 4/m m m'
_space_group_IT_number 139
_space_group_name_Hall '-I 4 2'
_cell_length_a 7.8726
_cell_length_b 7.8726
_cell_length_c 6.1323
_cell_angle_alpha 90.00
_cell_angle_beta 90.00
_cell_angle_gamma 90.00
loop_
_atom_site_label
_atom_site_type_symbol
_atom_site_fract_x
_atom_site_fract_y
_atom_site_fract_z
_atom_site_occupancy
Pr1 Pr 0.0000 0.0000 0.0000 1
Er1 Er 0.0000 0.5000 0.2500 1
Hf1 Hf 0.1955 0.1955 0.5000 1
```

---

5.
# LiLuTeO
Calculated powder X-ray diffraction pattern, λ = 1.5418 Å (Cu Kα). Input: a structure optimized by DFT (PBE).

The 10 most intense peaks (2θ from 10° to 90°), sorted by position:
- 13.3 deg, I 90.7, hkl 1 0 0
- 24.4 deg, I 38.9, hkl 1 1 1
- 28.4 deg, I 54.8, hkl 0 0 2
- 30.3 deg, I 100.0, hkl 1 2 -1
- 30.6 deg, I 57.8, hkl 2 1 -1
- 32.5 deg, I 30.1, hkl 1 2 1
- 33.6 deg, I 41.0, hkl 1 0 2
- 40.5 deg, I 25.0, hkl 3 0 0
- 41.1 deg, I 45.4, hkl 2 2 1
- 47.4 deg, I 31.5, hkl 3 1 -2

```
data_LiLuTeO
_chemical_formula_sum 'Li4 Lu4 Te4 O4'
_space_group_name_H-M_alt 'P 1 21/c 1'
_space_group_IT_number 14
_space_group_name_Hall '-P 2ybc'
_cell_length_a 6.7863
_cell_length_b 7.2693
_cell_length_c 6.3845
_cell_angle_alpha 90.00
_cell_angle_beta 100.22
_cell_angle_gamma 90.00
loop_
_atom_site_label
_atom_site_type_symbol
_atom_site_fract_x
_atom_site_fract_y
_atom_site_fract_z
_atom_site_occupancy
Li1 Li 0.1293 0.2130 0.4506 1
Lu1 Lu 0.4650 0.6224 0.7781 1
Te1 Te 0.1782 0.5763 0.3350 1
O1 O 0.4006 0.1527 0.3936 1
```

---

6.
# ScFeGe
Calculated powder X-ray diffraction pattern, λ = 1.5418 Å (Cu Kα). Input: a structure optimized by DFT (PBE).

The 10 most intense peaks (2θ from 10° to 90°), sorted by position:
- 14.0 deg, I 44.7, hkl 0 0 2
- 23.8 deg, I 13.9, hkl 1 0 1
- 32.3 deg, I 14.8, hkl 1 1 0
- 35.4 deg, I 26.1, hkl 1 1 2
- 42.5 deg, I 13.8, hkl 1 0 5
- 43.4 deg, I 100.0, hkl 1 1 4
- 46.4 deg, I 45.0, hkl 2 0 0
- 67.6 deg, I 13.5, hkl 2 2 0
- 77.6 deg, I 12.3, hkl 2 0 8
- 83.9 deg, I 26.4, hkl 3 1 4

```
data_ScFeGe
_chemical_formula_sum 'Sc4 Fe4 Ge4'
_space_group_name_H-M_alt 'I 4/m m m'
_space_group_IT_number 139
_space_group_name_Hall '-I 4 2'
_cell_length_a 3.9171
_cell_length_b 3.9171
_cell_length_c 12.6549
_cell_angle_alpha 90.00
_cell_angle_beta 90.00
_cell_angle_gamma 90.00
loop_
_atom_site_label
_atom_site_type_symbol
_atom_site_fract_x
_atom_site_fract_y
_atom_site_fract_z
_atom_site_occupancy
Sc1 Sc 0.0000 0.0000 0.1476 1
Fe1 Fe 0.0000 0.5000 0.0000 1
Ge1 Ge 0.0000 0.0000 0.3824 1
```